Record 1
Calculated powder diffraction line list of LaGd2Sn4Pb3 for copper Kα, from DFT lattice parameters and positions (GGA-PBE).
Neutral-atom scattering factors, no anomalous dispersion.

The 10 most intense peaks (2θ = 10–80°), low angle first:
| 2θ (°) | I (rel.) |
| --- | --- |
| 32.18 | 100.0 |
| 34.95 | 18.3 |
| 37.94 | 16.7 |
| 38.99 | 15.5 |
| 52.52 | 12.9 |
| 55.53 | 11.3 |
| 60.94 | 13.5 |
| 64.92 | 14.0 |
| 66.36 | 12.9 |
| 67.32 | 11.3 |

Crystal structure
Lattice parameters (Å, degrees): 13.0424 13.0424 4.7436 90.00 90.00 159.60
Atoms (fractional coordinates):
La1 0.0000 0.0000 0.0000
Gd1 0.1901 0.8099 0.0000
Gd2 0.8099 0.1901 0.0000
Sn1 0.2910 0.7090 0.5000
Sn2 0.4002 0.5998 0.0000
Sn3 0.5998 0.4002 0.0000
Sn4 0.7090 0.2910 0.5000
Pb1 0.1013 0.8987 0.5000
Pb2 0.5000 0.5000 0.5000
Pb3 0.8987 0.1013 0.5000

=====

Record 2
Calculated powder diffraction line list of Sr2W for copper Kα, from DFT lattice parameters and positions (GGA-PBE).
Neutral-atom scattering factors, no anomalous dispersion.

The 10 most intense peaks (2θ = 10–80°), low angle first:
| 2θ (°) | I (rel.) |
| --- | --- |
| 19.54 | 57.9 |
| 32.17 | 100.0 |
| 37.92 | 32.9 |
| 46.14 | 18.3 |
| 50.56 | 14.6 |
| 57.36 | 38.4 |
| 61.20 | 11.0 |
| 67.30 | 11.9 |
| 70.84 | 10.7 |
| 76.57 | 16.6 |

Crystal structure
Lattice parameters (Å, degrees): 5.5647 5.5647 5.5647 60.00 60.00 60.00
Atoms (fractional coordinates):
Sr1 0.2500 0.2500 0.2500
Sr2 0.7500 0.7500 0.7500
W1 0.0000 0.0000 0.0000

=====

Record 3
Calculated powder diffraction line list of Ta3B2As for copper Kα, from DFT lattice parameters and positions (GGA-PBE).
Neutral-atom scattering factors, no anomalous dispersion.

The 10 most intense peaks (2θ = 10–80°), low angle first:
| 2θ (°) | I (rel.) |
| --- | --- |
| 31.12 | 15.3 |
| 31.25 | 51.1 |
| 32.55 | 15.6 |
| 37.35 | 100.0 |
| 40.63 | 44.2 |
| 54.79 | 37.5 |
| 57.65 | 15.7 |
| 64.39 | 18.9 |
| 68.19 | 17.3 |
| 71.29 | 18.3 |

Crystal structure
Lattice parameters (Å, degrees): 3.3511 3.3511 17.2424 90.00 90.00 120.00
Atoms (fractional coordinates):
Ta1 0.0000 0.0000 0.0000
Ta2 0.0000 0.0000 0.5000
Ta3 0.3333 0.6667 0.1436
Ta4 0.3333 0.6667 0.3564
Ta5 0.6667 0.3333 0.6436
Ta6 0.6667 0.3333 0.8564
B1 0.3333 0.6667 0.5759
B2 0.3333 0.6667 0.9241
B3 0.6667 0.3333 0.0759
B4 0.6667 0.3333 0.4241
As1 0.0000 0.0000 0.2500
As2 0.0000 0.0000 0.7500

=====

Record 4
Calculated powder diffraction line list of ZnFeSnAu for copper Kα, from DFT lattice parameters and positions (GGA-PBE).
Neutral-atom scattering factors, no anomalous dispersion.

The 10 most intense peaks (2θ = 10–80°), low angle first:
| 2θ (°) | I (rel.) |
| --- | --- |
| 23.88 | 25.2 |
| 27.64 | 2.6 |
| 39.49 | 100.0 |
| 46.68 | 13.9 |
| 48.88 | 0.7 |
| 57.08 | 16.9 |
| 62.75 | 6.1 |
| 64.58 | 0.9 |
| 71.63 | 34.5 |
| 76.73 | 4.9 |

Crystal structure
Lattice parameters (Å, degrees): 4.5637 4.5637 4.5637 60.00 60.00 60.00
Atoms (fractional coordinates):
Zn1 0.0000 0.0000 0.0000
Fe1 0.7500 0.7500 0.7500
Sn1 0.5000 0.5000 0.5000
Au1 0.2500 0.2500 0.2500

=====

Record 5
Calculated powder diffraction line list of ZnPd17 for copper Kα, from DFT lattice parameters and positions (GGA-PBE).
Neutral-atom scattering factors, no anomalous dispersion.

The 10 most intense peaks (2θ = 10–80°), low angle first:
| 2θ (°) | I (rel.) |
| --- | --- |
| 37.50 | 24.0 |
| 39.07 | 39.5 |
| 39.92 | 100.0 |
| 40.29 | 28.2 |
| 40.95 | 16.4 |
| 44.94 | 35.4 |
| 46.54 | 60.8 |
| 65.63 | 16.3 |
| 67.70 | 31.0 |
| 68.19 | 15.8 |

Crystal structure
Lattice parameters (Å, degrees): 5.5377 5.5377 33.5738 90.00 90.00 120.00
Atoms (fractional coordinates):
Zn1 0.3333 0.6667 0.2706
Zn2 0.6667 0.3333 0.7294
Pd1 0.0000 0.0000 0.0000
Pd2 0.0000 0.0000 0.2046
Pd3 0.0000 0.0000 0.7954
Pd4 0.0000 0.5000 0.0000
Pd5 0.0013 0.5007 0.2054
Pd6 0.1661 0.3321 0.7266
Pd7 0.1661 0.8339 0.7266
Pd8 0.1666 0.3332 0.9318
Pd9 0.1669 0.3338 0.1367
Pd10 0.1669 0.8331 0.1367
Pd11 0.1666 0.8334 0.9318
Pd12 0.3321 0.1661 0.2734
Pd13 0.3332 0.1666 0.0682
Pd14 0.3333 0.6667 0.0684
Pd15 0.3333 0.6667 0.8636
Pd16 0.3338 0.1669 0.8633
Pd17 0.4993 0.5007 0.2054
Pd18 0.4993 0.9987 0.2054
Pd19 0.5000 0.0000 0.0000
Pd20 0.5000 0.5000 0.0000
Pd21 0.5007 0.0013 0.7946
Pd22 0.5007 0.4993 0.7946
Pd23 0.6662 0.8331 0.1367
Pd24 0.6667 0.3333 0.1364
Pd25 0.6667 0.3333 0.9316
Pd26 0.6668 0.8334 0.9318
Pd27 0.6679 0.8339 0.7266
Pd28 0.8334 0.1666 0.0682
Pd29 0.8331 0.1669 0.8633
Pd30 0.8331 0.6662 0.8633
Pd31 0.8334 0.6668 0.0682
Pd32 0.8339 0.1661 0.2734
Pd33 0.8339 0.6679 0.2734
Pd34 0.9987 0.4993 0.7946

=====

Record 6
Calculated powder diffraction line list of Cs3ZnF5 for copper Kα, from DFT lattice parameters and positions (GGA-PBE).
Neutral-atom scattering factors, no anomalous dispersion.

The 10 most intense peaks (2θ = 10–80°), low angle first:
| 2θ (°) | I (rel.) |
| --- | --- |
| 26.65 | 49.3 |
| 27.08 | 100.0 |
| 28.76 | 38.0 |
| 32.61 | 28.1 |
| 33.69 | 68.3 |
| 36.59 | 25.6 |
| 44.03 | 23.1 |
| 48.90 | 15.3 |
| 49.94 | 20.6 |
| 53.44 | 15.7 |

Crystal structure
Lattice parameters (Å, degrees): 8.2883 8.2883 8.2883 124.12 124.12 83.00
Atoms (fractional coordinates):
Cs1 0.1725 0.6725 0.8449
Cs2 0.2500 0.2500 0.0000
Cs3 0.3275 0.1725 0.5000
Cs4 0.6725 0.8275 0.5000
Cs5 0.7500 0.7500 0.0000
Cs6 0.8275 0.3275 0.1551
Zn1 0.2500 0.7500 0.5000
Zn2 0.7500 0.2500 0.5000
F1 0.0000 0.0000 0.0000
F2 0.0181 0.7988 0.5000
F3 0.2012 0.7012 0.2193
F4 0.2988 0.5181 0.5000
F5 0.4819 0.9819 0.7807
F6 0.5000 0.5000 0.0000
F7 0.5181 0.0181 0.2193
F8 0.7012 0.4819 0.5000
F9 0.7988 0.2988 0.7807
F10 0.9819 0.2012 0.5000

=====

Record 7
Calculated powder diffraction line list of GdEr2Al7Ag2 for copper Kα, from DFT lattice parameters and positions (GGA-PBE).
Neutral-atom scattering factors, no anomalous dispersion.

The 10 most intense peaks (2θ = 10–80°), low angle first:
| 2θ (°) | I (rel.) |
| --- | --- |
| 18.82 | 19.9 |
| 20.25 | 37.8 |
| 22.96 | 18.6 |
| 30.22 | 29.8 |
| 32.35 | 85.8 |
| 33.03 | 19.4 |
| 38.46 | 100.0 |
| 61.79 | 24.4 |
| 62.72 | 17.4 |
| 67.71 | 17.1 |

Crystal structure
Lattice parameters (Å, degrees): 9.3334 9.3334 9.3334 34.50 34.50 34.50
Atoms (fractional coordinates):
Gd1 0.0000 0.0000 0.0000
Er1 0.1424 0.1424 0.1424
Er2 0.8576 0.8576 0.8576
Al1 0.0763 0.5881 0.5881
Al2 0.4119 0.4119 0.9237
Al3 0.4119 0.9237 0.4119
Al4 0.5000 0.5000 0.5000
Al5 0.5881 0.0763 0.5881
Al6 0.5881 0.5881 0.0763
Al7 0.9237 0.4119 0.4119
Ag1 0.3356 0.3356 0.3356
Ag2 0.6644 0.6644 0.6644

=====

Record 8
Calculated powder diffraction line list of Sc3Al2Cd for copper Kα, from DFT lattice parameters and positions (GGA-PBE).
Neutral-atom scattering factors, no anomalous dispersion.

The 10 most intense peaks (2θ = 10–80°), low angle first:
| 2θ (°) | I (rel.) |
| --- | --- |
| 15.75 | 12.8 |
| 28.36 | 18.7 |
| 31.58 | 17.3 |
| 36.40 | 100.0 |
| 38.85 | 42.2 |
| 48.54 | 9.9 |
| 56.11 | 13.5 |
| 63.84 | 16.5 |
| 68.74 | 27.7 |
| 77.31 | 9.2 |

Crystal structure
Lattice parameters (Å, degrees): 3.2784 3.2784 11.2535 90.00 90.00 90.00
Atoms (fractional coordinates):
Sc1 0.0000 0.0000 0.0000
Sc2 0.0000 0.0000 0.3201
Sc3 0.0000 0.0000 0.6799
Al1 0.5000 0.5000 0.1619
Al2 0.5000 0.5000 0.8381
Cd1 0.5000 0.5000 0.5000

=====

Record 9
Calculated powder diffraction line list of Sm2Dy2CIBr2Cl2 for copper Kα, from DFT lattice parameters and positions (GGA-PBE).
Neutral-atom scattering factors, no anomalous dispersion.

The 10 most intense peaks (2θ = 10–80°), low angle first:
| 2θ (°) | I (rel.) |
| --- | --- |
| 10.23 | 49.2 |
| 10.83 | 53.9 |
| 28.39 | 16.3 |
| 31.03 | 37.7 |
| 31.37 | 100.0 |
| 32.91 | 14.3 |
| 34.44 | 21.0 |
| 44.40 | 20.8 |
| 45.02 | 23.6 |
| 47.02 | 15.1 |

Crystal structure
Lattice parameters (Å, degrees): 9.1479 9.1479 8.4478 104.45 104.45 24.39
Atoms (fractional coordinates):
Sm1 0.1425 0.1425 0.0816
Sm2 0.8575 0.8575 0.9184
Dy1 0.5005 0.5005 0.1929
Dy2 0.4995 0.4995 0.8071
C1 0.0000 0.0000 0.0000
I1 0.0000 0.0000 0.5000
Br1 0.3323 0.3323 0.1660
Br2 0.6677 0.6677 0.8340
Cl1 0.3417 0.3417 0.6738
Cl2 0.6583 0.6583 0.3262

=====

Record 10
Calculated powder diffraction line list of Dy2HoTmGa4 for copper Kα, from DFT lattice parameters and positions (GGA-PBE).
Neutral-atom scattering factors, no anomalous dispersion.

The 10 most intense peaks (2θ = 10–80°), low angle first:
| 2θ (°) | I (rel.) |
| --- | --- |
| 27.07 | 16.2 |
| 30.20 | 28.8 |
| 32.07 | 100.0 |
| 34.98 | 59.5 |
| 38.54 | 20.7 |
| 39.96 | 18.1 |
| 42.03 | 25.8 |
| 49.82 | 15.7 |
| 60.36 | 13.7 |
| 67.18 | 14.1 |

Crystal structure
Lattice parameters (Å, degrees): 6.5868 6.9663 6.9663 35.95 90.00 90.00
Atoms (fractional coordinates):
Dy1 0.0000 0.0000 0.0000
Dy2 0.5000 0.4477 0.4477
Ho1 0.0000 0.2747 0.2747
Tm1 0.5000 0.1734 0.1734
Ga1 0.1982 0.6261 0.6261
Ga2 0.3027 0.8214 0.8214
Ga3 0.6973 0.8214 0.8214
Ga4 0.8018 0.6261 0.6261

=====

Record 11
Calculated powder diffraction line list of MgIr2Se4 for copper Kα, from DFT lattice parameters and positions (GGA-PBE).
Neutral-atom scattering factors, no anomalous dispersion.

The 10 most intense peaks (2θ = 10–80°), low angle first:
| 2θ (°) | I (rel.) |
| --- | --- |
| 17.77 | 73.4 |
| 28.49 | 100.0 |
| 31.81 | 16.8 |
| 35.65 | 30.6 |
| 43.89 | 29.6 |
| 44.76 | 17.2 |
| 49.06 | 38.7 |
| 53.16 | 33.4 |
| 62.04 | 9.1 |
| 63.81 | 9.1 |

Crystal structure
Lattice parameters (Å, degrees): 6.3412 6.3412 6.3412 125.22 125.22 81.17
Atoms (fractional coordinates):
Mg1 0.0000 0.0000 0.0000
Ir1 0.5000 0.5000 0.0000
Ir2 0.7500 0.2500 0.5000
Se1 0.1351 0.1049 0.5349
Se2 0.3998 0.8649 0.9698
Se3 0.5700 0.6002 0.4651
Se4 0.8951 0.4300 0.0302